# 1
This entry pairs a crystal structure of Cu2SbPd4 with its computed X-ray powder pattern. Radiation: a wavelength of 1.5418 Å. Structure: a GGA-PBE-relaxed structure.

Structure:
abc: 5.321 5.321 5.321
angles: 107.12 107.12 114.28
Atoms (fractional coordinates):
Cu 0.000 0.500 0.500
Cu 0.500 0.000 0.500
Sb 0.000 0.000 0.000
Pd 0.000 0.000 0.500
Pd 0.000 0.500 0.000
Pd 0.500 0.000 0.000
Pd 0.500 0.500 0.500

Principal peaks in the range 10 to 90 degrees two-theta, in order of rising 2θ:
2θ/deg, I (rel.)
20.84, 20
28.24, 10
35.35, 10
40.36, 58
42.41, 100
58.40, 19
64.56, 7
74.79, 35
78.96, 15
87.25, 6

---

# 2
This entry pairs a crystal structure of CuSb2Pd4 with its computed X-ray powder pattern. Radiation: a wavelength of 1.5418 Å. Structure: a GGA-PBE-relaxed structure.

Structure:
abc: 4.365 4.365 6.545
angles: 90.00 90.00 90.00
Atoms (fractional coordinates):
Cu 0.000 0.000 0.000
Sb 0.000 0.000 0.500
Sb 0.500 0.500 0.000
Pd 0.000 0.500 0.252
Pd 0.000 0.500 0.748
Pd 0.500 0.000 0.252
Pd 0.500 0.000 0.748

Principal peaks in the range 10 to 90 degrees two-theta, in order of rising 2θ:
2θ/deg, I (rel.)
24.51, 20
40.16, 100
41.37, 46
48.67, 6
56.22, 9
59.94, 15
72.15, 17
74.62, 31
86.73, 11
89.89, 5

---

Repeat the first record exactly.
This entry pairs a crystal structure of Cu2SbPd4 with its computed X-ray powder pattern. Radiation: a wavelength of 1.5418 Å. Structure: a GGA-PBE-relaxed structure.

Structure:
abc: 5.321 5.321 5.321
angles: 107.12 107.12 114.28
Atoms (fractional coordinates):
Cu 0.000 0.500 0.500
Cu 0.500 0.000 0.500
Sb 0.000 0.000 0.000
Pd 0.000 0.000 0.500
Pd 0.000 0.500 0.000
Pd 0.500 0.000 0.000
Pd 0.500 0.500 0.500

Principal peaks in the range 10 to 90 degrees two-theta, in order of rising 2θ:
2θ/deg, I (rel.)
20.84, 20
28.24, 10
35.35, 10
40.36, 58
42.41, 100
58.40, 19
64.56, 7
74.79, 35
78.96, 15
87.25, 6

---

Please write out number 1 again, unchanged.
This entry pairs a crystal structure of Cu2SbPd4 with its computed X-ray powder pattern. Radiation: a wavelength of 1.5418 Å. Structure: a GGA-PBE-relaxed structure.

Structure:
abc: 5.321 5.321 5.321
angles: 107.12 107.12 114.28
Atoms (fractional coordinates):
Cu 0.000 0.500 0.500
Cu 0.500 0.000 0.500
Sb 0.000 0.000 0.000
Pd 0.000 0.000 0.500
Pd 0.000 0.500 0.000
Pd 0.500 0.000 0.000
Pd 0.500 0.500 0.500

Principal peaks in the range 10 to 90 degrees two-theta, in order of rising 2θ:
2θ/deg, I (rel.)
20.84, 20
28.24, 10
35.35, 10
40.36, 58
42.41, 100
58.40, 19
64.56, 7
74.79, 35
78.96, 15
87.25, 6